Record 1
Starting from a PBE-relaxed structure, the powder XRD pattern of Sm3Y5As8 was calculated for Cu Ka.
Lines closer than 0.1° are merged.

Most intense lines, 2θ from 5° to 70°, in order of rising 2θ:
2theta, I (rel.)
13.0, 3
26.3, 7
30.4, 100
43.5, 74
54.0, 26
63.3, 12

Crystal structure
```
16
Lattice="4.158 2.401 6.790 -4.158 2.401 6.790 0.000 -4.801 6.790" Properties=species:S:1:pos:R:3 pbc="T T T"
Sm -2.079 -1.200 6.790
Sm -2.079 1.200 13.580
Sm 0.000 2.401 6.790
Y 0.000 0.000 0.000
Y -4.158 0.000 10.185
Y -2.079 1.200 3.395
Y 2.079 1.200 3.395
Y 0.000 0.000 10.185
As -2.093 -1.209 11.859
As 0.000 0.000 5.056
As 0.000 -2.417 8.511
As -2.093 1.209 8.511
As 2.093 -1.209 11.859
As 0.000 2.417 11.859
As 0.000 0.000 15.314
As 2.093 1.209 8.511
```

***

Record 2
Starting from a PBE-relaxed structure, the powder XRD pattern of AcH4Rh2 was calculated for Cu Ka.
Lines closer than 0.1° are merged.

Most intense lines, 2θ from 5° to 70°, in order of rising 2θ:
2theta, I (rel.)
22.4, 100
30.7, 91
38.4, 53
39.7, 90
44.0, 33
60.8, 52

Crystal structure
```
7
Lattice="-2.908 2.908 2.721 2.908 -2.908 2.721 2.908 2.908 -2.721" Properties=species:S:1:pos:R:3 pbc="T T T"
Ac 0.000 0.000 0.000
H 2.653 1.074 0.000
H 1.834 -0.255 2.721
H 1.074 3.164 0.000
H 0.255 1.834 2.721
Rh 2.908 0.000 1.360
Rh 0.000 2.908 1.360
```

***

Record 3
Starting from a PBE-relaxed structure, the powder XRD pattern of Tl2Hg5Au3 was calculated for Cu Ka.
Lines closer than 0.1° are merged.

Most intense lines, 2θ from 5° to 70°, in order of rising 2θ:
2theta, I (rel.)
29.9, 44
31.3, 100
32.0, 78
33.8, 44
38.5, 34
40.4, 54

Crystal structure
```
20
Lattice="2.235 -14.013 0.000 2.235 14.013 0.000 0.000 0.000 8.113" Properties=species:S:1:pos:R:3 pbc="T T T"
Tl 2.235 13.363 4.056
Tl 2.235 4.944 4.846
Tl 2.235 -4.944 0.790
Tl 2.235 -13.363 0.000
Hg 2.235 11.197 7.256
Hg 2.235 8.326 6.547
Hg 2.235 8.199 3.156
Hg 2.235 3.470 0.373
Hg 2.235 1.469 5.438
Hg 2.235 -1.469 1.381
Hg 2.235 -3.470 4.429
Hg 2.235 -8.199 7.213
Hg 2.235 -8.326 2.491
Hg 2.235 -11.197 3.200
Au 2.235 10.901 2.273
Au 2.235 6.454 0.807
Au 2.235 1.225 2.269
Au 2.235 -1.225 6.325
Au 2.235 -6.454 4.864
Au 2.235 -10.901 6.330
```

***

Record 4
Starting from a PBE-relaxed structure, the powder XRD pattern of Fe3SnBi was calculated for Cu Ka.
Lines closer than 0.1° are merged.

Most intense lines, 2θ from 5° to 70°, in order of rising 2θ:
2theta, I (rel.)
26.3, 100
32.4, 39
37.6, 71
46.5, 46
54.2, 49
61.2, 21

Crystal structure
```
5
Lattice="4.787 0.000 0.000 0.000 4.787 0.000 0.000 0.000 4.787" Properties=species:S:1:pos:R:3 pbc="T T T"
Fe 0.000 0.000 2.393
Fe 0.000 2.393 0.000
Fe 2.393 0.000 0.000
Sn 0.000 0.000 0.000
Bi 2.393 2.393 2.393
```